Computed powder diffraction line list of Li3CrCu4O8 for Cu Kα X-rays, from a crystal structure in Alexandria, relaxed with PBE+U.
Intensities are scaled so that the largest is 1000.

Crystal structure
```
Li3CrCu4O8
1.0
5.486 -2.841 0.000
5.486 2.841 0.000
-2.734 0.000 4.924
Li Cr Cu O
3 1 4 8
Direct
0.000 0.000 0.000
0.000 0.500 0.500
0.500 0.000 0.500
0.500 0.500 0.500
0.000 0.000 0.500
0.000 0.500 0.000
0.500 0.000 0.000
0.500 0.500 0.000
0.200 0.200 0.741
0.233 0.703 0.730
0.289 0.289 0.252
0.297 0.767 0.270
0.703 0.233 0.730
0.711 0.711 0.748
0.767 0.297 0.270
0.800 0.800 0.259
```

Top 10 peaks for 10° ≤ 2θ ≤ 90°, low angle first:
18.53°, I = 920
22.23°, I = 181
31.74°, I = 191
32.65°, I = 182
36.51°, I = 446
36.77°, I = 433
37.52°, I = 917
45.36°, I = 1000
59.52°, I = 344
61.01°, I = 234